# 1
For Li2Ac3Zn2Pb4, a cell relaxed with GGA-PBE gives the simulated XRD peak list in this record (copper Kα).
Lines closer than 0.1° are merged.

a b c (Å): 4.923 4.923 15.980
angles (deg): 90.00 90.00 120.00
Positions (direct):
Li: 0.333 0.667 0.065
Li: 0.667 0.333 0.935
Ac: 0.000 0.000 0.223
Ac: 0.000 0.000 0.500
Ac: 0.000 0.000 0.777
Zn: 0.333 0.667 0.672
Zn: 0.667 0.333 0.328
Pb: 0.333 0.667 0.374
Pb: 0.333 0.667 0.886
Pb: 0.667 0.333 0.114
Pb: 0.667 0.333 0.626

Main lines, by angle (15 to 90 degrees two-theta):
d (Å), 2θ (°), I/Imax
3.762, 23.65, 71.7
3.329, 26.78, 40.9
2.915, 30.67, 100.0
2.462, 36.50, 83.1
2.259, 39.91, 24.9
2.060, 43.96, 14.7
1.881, 48.39, 29.0
1.495, 62.08, 36.2
1.421, 65.70, 15.4
1.134, 85.64, 19.1

***

# 2
For Li2Ac3Pd5, a cell relaxed with GGA-PBE gives the simulated XRD peak list in this record (copper Kα).
Lines closer than 0.1° are merged.

a b c (Å): 10.475 10.475 3.934
angles (deg): 90.00 90.00 90.00
Positions (direct):
Li: 0.117 0.383 0.000
Li: 0.383 0.883 0.000
Li: 0.617 0.117 0.000
Li: 0.883 0.617 0.000
Ac: 0.000 0.000 0.000
Ac: 0.176 0.676 0.000
Ac: 0.324 0.176 0.000
Ac: 0.500 0.500 0.000
Ac: 0.676 0.824 0.000
Ac: 0.824 0.324 0.000
Pd: 0.000 0.500 0.500
Pd: 0.070 0.227 0.500
Pd: 0.227 0.930 0.500
Pd: 0.273 0.430 0.500
Pd: 0.430 0.727 0.500
Pd: 0.500 0.000 0.500
Pd: 0.570 0.273 0.500
Pd: 0.727 0.570 0.500
Pd: 0.773 0.070 0.500
Pd: 0.930 0.773 0.500

Main lines, by angle (15 to 90 degrees two-theta):
d (Å), 2θ (°), I/Imax
4.685, 18.94, 11.3
3.013, 29.65, 56.1
2.697, 33.22, 29.5
2.536, 35.39, 100.0
2.341, 38.46, 32.7
1.967, 46.15, 15.4
1.634, 56.30, 14.3
1.596, 57.78, 15.9
1.555, 59.43, 16.2
1.506, 61.57, 11.1

***

# 3
For Li4AcPd2, a cell relaxed with GGA-PBE gives the simulated XRD peak list in this record (copper Kα).
Lines closer than 0.1° are merged.

a b c (Å): 8.021 8.021 4.234
angles (deg): 90.00 90.00 90.00
Positions (direct):
Li: 0.095 0.349 0.000
Li: 0.151 0.595 0.500
Li: 0.349 0.095 0.000
Li: 0.405 0.849 0.500
Li: 0.595 0.151 0.500
Li: 0.651 0.905 0.000
Li: 0.849 0.405 0.500
Li: 0.905 0.651 0.000
Ac: 0.000 0.000 0.500
Ac: 0.500 0.500 0.000
Pd: 0.209 0.791 0.000
Pd: 0.291 0.291 0.500
Pd: 0.709 0.709 0.500
Pd: 0.791 0.209 0.000

Main lines, by angle (15 to 90 degrees two-theta):
d (Å), 2θ (°), I/Imax
5.672, 15.62, 97.1
3.744, 23.76, 38.7
3.393, 26.27, 44.9
2.836, 31.55, 53.9
2.737, 32.72, 100.0
2.537, 35.39, 19.9
2.261, 39.88, 52.0
1.696, 54.06, 23.8
1.500, 61.84, 20.4
1.405, 66.55, 27.6

***

# 4
For LiAc2Pd4, a cell relaxed with GGA-PBE gives the simulated XRD peak list in this record (copper Kα).
Lines closer than 0.1° are merged.

a b c (Å): 6.224 6.217 6.203
angles (deg): 60.15 60.03 59.82
Positions (direct):
Li: 0.000 0.000 0.000
Ac: 0.250 0.250 0.250
Ac: 0.750 0.750 0.750
Pd: 0.279 0.721 0.279
Pd: 0.280 0.720 0.720
Pd: 0.720 0.280 0.280
Pd: 0.721 0.279 0.721

Main lines, by angle (15 to 90 degrees two-theta):
d (Å), 2θ (°), I/Imax
4.391, 20.22, 25.0
4.381, 20.27, 24.8
3.110, 28.70, 51.9
2.537, 35.38, 100.0
2.205, 40.92, 18.4
2.193, 41.16, 31.6
1.792, 50.95, 16.9
1.555, 59.44, 21.5
1.466, 63.47, 12.3
1.328, 70.94, 13.2

***

# 5
For Li2Ac3Pd3, a cell relaxed with GGA-PBE gives the simulated XRD peak list in this record (copper Kα).
Lines closer than 0.1° are merged.

a b c (Å): 8.996 8.996 6.080
angles (deg): 90.00 90.00 120.00
Positions (direct):
Li: 0.333 0.667 0.000
Li: 0.333 0.667 0.500
Li: 0.667 0.333 0.000
Li: 0.667 0.333 0.500
Ac: 0.000 0.278 0.250
Ac: 0.000 0.722 0.750
Ac: 0.278 0.000 0.250
Ac: 0.278 0.278 0.750
Ac: 0.722 0.000 0.750
Ac: 0.722 0.722 0.250
Pd: 0.000 0.386 0.750
Pd: 0.000 0.614 0.250
Pd: 0.386 0.000 0.750
Pd: 0.386 0.386 0.250
Pd: 0.614 0.000 0.250
Pd: 0.614 0.614 0.750

Main lines, by angle (15 to 90 degrees two-theta):
d (Å), 2θ (°), I/Imax
4.498, 19.74, 81.5
3.616, 24.62, 34.7
3.040, 29.38, 55.0
2.650, 33.82, 100.0
2.597, 34.54, 52.8
2.519, 35.65, 41.0
1.975, 45.96, 45.0
1.715, 53.43, 25.5
1.669, 55.00, 25.4
1.364, 68.85, 24.7

***

# 6
For Li2Ac2Pd3, a cell relaxed with GGA-PBE gives the simulated XRD peak list in this record (copper Kα).
Lines closer than 0.1° are merged.

a b c (Å): 10.043 10.043 7.742
angles (deg): 90.00 90.00 155.70
Positions (direct):
Li: 0.193 0.807 0.563
Li: 0.193 0.807 0.937
Li: 0.807 0.193 0.063
Li: 0.807 0.193 0.437
Ac: 0.346 0.654 0.750
Ac: 0.444 0.556 0.250
Ac: 0.556 0.444 0.750
Ac: 0.654 0.346 0.250
Pd: 0.064 0.936 0.066
Pd: 0.064 0.936 0.434
Pd: 0.275 0.725 0.250
Pd: 0.725 0.275 0.750
Pd: 0.936 0.064 0.566
Pd: 0.936 0.064 0.934

Main lines, by angle (15 to 90 degrees two-theta):
d (Å), 2θ (°), I/Imax
4.141, 21.46, 26.2
3.871, 22.98, 27.9
3.014, 29.64, 19.6
2.825, 31.67, 76.3
2.697, 33.22, 100.0
2.284, 39.45, 24.1
2.113, 42.79, 21.5
2.026, 44.72, 16.0
1.752, 52.20, 15.5
1.363, 68.86, 16.5